No. 1
Simulated X-ray powder pattern
Compound: URe2
Radiation: Cu Kα (weighted mean of Kα1 and Kα2)
Structure: the GGA-PBE geometry in the Materials Project
Neutral-atom scattering factors, no anomalous dispersion.

Principal peaks in the range 5 to 70 degrees two-theta, low angle first:
| 2θ (°) | d (Å) | I/Imax |
| --- | --- | --- |
| 30.52 | 2.929 | 15 |
| 33.54 | 2.672 | 23 |
| 37.32 | 2.410 | 51 |
| 37.59 | 2.393 | 28 |
| 38.22 | 2.355 | 100 |
| 40.15 | 2.246 | 46 |
| 41.56 | 2.173 | 27 |
| 42.80 | 2.113 | 15 |

abc: 5.857 9.006 8.297
angles: 90.00 90.00 90.00
Space group Cmcm (No. 63)
One atom of each set of equivalent atoms:
U (0.000, 0.162, 0.086)
Re (0.000, 0.325, 0.750)
Re (0.000, 0.500, 0.000)
Re (0.246, 0.088, 0.750)

---

No. 2
Simulated X-ray powder pattern
Compound: K4GeP4S12
Radiation: Cu Kα (weighted mean of Kα1 and Kα2)
Structure: the GGA-PBE geometry in the Materials Project
Neutral-atom scattering factors, no anomalous dispersion.

Principal peaks in the range 5 to 70 degrees two-theta, low angle first:
| 2θ (°) | d (Å) | I/Imax |
| --- | --- | --- |
| 13.19 | 6.712 | 100 |
| 14.57 | 6.081 | 96 |
| 15.13 | 5.855 | 86 |
| 27.22 | 3.276 | 77 |
| 28.40 | 3.143 | 99 |
| 29.41 | 3.037 | 51 |
| 32.35 | 2.767 | 62 |
| 35.56 | 2.525 | 76 |

abc: 12.418 8.032 23.622
angles: 90.00 100.27 90.00
Space group C2/c (No. 15)
One atom of each set of equivalent atoms:
K (0.098, 0.082, 0.184)
K (0.186, 0.479, 0.546)
Ge (0.000, 0.464, 0.750)
P (0.096, 0.291, 0.874)
P (0.147, 0.436, 0.383)
S (0.042, 0.304, 0.419)
S (0.064, 0.328, 0.680)
S (0.077, 0.211, 0.950)
S (0.140, 0.374, 0.292)
S (0.189, 0.161, 0.829)
S (0.197, 0.072, 0.579)

---

No. 3
Simulated X-ray powder pattern
Compound: ZrRh3
Radiation: Cu Kα (weighted mean of Kα1 and Kα2)
Structure: the GGA-PBE geometry in the Materials Project
Neutral-atom scattering factors, no anomalous dispersion.

Principal peaks in the range 5 to 70 degrees two-theta, low angle first:
| 2θ (°) | d (Å) | I/Imax |
| --- | --- | --- |
| 39.27 | 2.294 | 100 |
| 45.67 | 1.987 | 48 |
| 66.57 | 1.405 | 31 |

abc: 3.973 3.973 3.973
angles: 90.00 90.00 90.00
Space group Pm-3m (No. 221)
One atom of each set of equivalent atoms:
Zr (0.000, 0.000, 0.000)
Rh (0.000, 0.500, 0.500)

---

No. 4
Simulated X-ray powder pattern
Compound: InCo3SnS2
Radiation: Cu Kα (weighted mean of Kα1 and Kα2)
Structure: the GGA-PBE geometry in the Materials Project
Neutral-atom scattering factors, no anomalous dispersion.

Principal peaks in the range 5 to 70 degrees two-theta, low angle first:
| 2θ (°) | d (Å) | I/Imax |
| --- | --- | --- |
| 19.49 | 4.554 | 39 |
| 23.32 | 3.815 | 36 |
| 32.66 | 2.742 | 67 |
| 33.76 | 2.655 | 71 |
| 39.58 | 2.277 | 40 |
| 39.75 | 2.268 | 32 |
| 41.43 | 2.179 | 91 |
| 47.68 | 1.907 | 100 |

abc: 5.3105 5.3105 13.6621
angles: 90.00 90.00 120.00
Space group R-3m (No. 166, hexagonal axes)
One atom of each set of equivalent atoms:
In (0.0000, 0.0000, 0.0000)
Co (0.0000, 0.5000, 0.5000)
Sn (0.0000, 0.0000, 0.5000)
S (0.0000, 0.0000, 0.2786)

---

No. 5
Simulated X-ray powder pattern
Compound: SrLu
Radiation: Cu Kα (weighted mean of Kα1 and Kα2)
Structure: the GGA-PBE geometry in the Materials Project
Neutral-atom scattering factors, no anomalous dispersion.

Principal peaks in the range 5 to 70 degrees two-theta, low angle first:
| 2θ (°) | d (Å) | I/Imax |
| --- | --- | --- |
| 27.36 | 3.260 | 29 |
| 28.44 | 3.138 | 27 |
| 30.91 | 2.893 | 100 |
| 39.87 | 2.261 | 21 |
| 48.37 | 1.882 | 19 |
| 51.93 | 1.761 | 23 |
| 57.06 | 1.614 | 23 |
| 58.51 | 1.577 | 16 |

abc: 3.7638 3.7638 6.2770
angles: 90.00 90.00 120.00
Space group P-6m2 (No. 187)
One atom of each set of equivalent atoms:
Sr (0.0000, 0.0000, 0.0000)
Lu (0.3333, 0.6667, 0.5000)